Diffraction record for V5CoO12. The X-ray diffraction stick pattern is calculated, not measured: it uses a cell relaxed with GGA+U and Cu Kα, 1.54184 Å.
Kinematic intensities with the Lorentz-polarization factor, no thermal factor.

Peak list (10 most intense, 15° ≤ 2θ ≤ 90°, low angle first)
| d (Å) | I/Imax |
| --- | --- |
| 4.826 | 46 |
| 4.558 | 49 |
| 3.787 | 24 |
| 3.181 | 100 |
| 2.994 | 62 |
| 2.743 | 45 |
| 2.562 | 25 |
| 2.028 | 24 |
| 1.793 | 19 |
| 1.688 | 21 |

Cell and atoms:
```
V5CoO12
1.0
5.074 -4.558 0.000
5.074 4.558 0.000
-2.045 0.000 5.485
V Co O
5 1 12
direct
0.000 0.000 0.000
0.288 0.305 0.502
0.473 0.122 0.005
0.695 0.712 0.498
0.878 0.527 0.995
0.170 0.830 0.500
0.044 0.732 0.106
0.122 0.106 0.380
0.166 0.534 0.509
0.268 0.956 0.894
0.425 0.291 0.802
0.457 0.270 0.305
0.466 0.834 0.491
0.709 0.575 0.198
0.715 0.016 0.029
0.730 0.543 0.695
0.894 0.878 0.620
0.984 0.285 0.971
```

---

Diffraction record for Mn2O3F. The X-ray diffraction stick pattern is calculated, not measured: it uses a cell relaxed with GGA+U and Cu Kα, 1.54184 Å.
Kinematic intensities with the Lorentz-polarization factor, no thermal factor.

Peak list (10 most intense, 15° ≤ 2θ ≤ 90°, low angle first)
| d (Å) | I/Imax |
| --- | --- |
| 3.318 | 89 |
| 3.166 | 91 |
| 2.526 | 100 |
| 2.291 | 15 |
| 2.237 | 17 |
| 1.719 | 54 |
| 1.675 | 53 |
| 1.659 | 16 |
| 1.514 | 17 |
| 1.363 | 36 |

Cell and atoms:
```
Mn2O3F
1.0
12.113 0.000 0.000
0.000 3.166 3.318
0.000 -3.166 3.318
Mn O F
8 12 4
direct
0.000 0.000 0.000
0.124 0.474 0.474
0.250 0.955 0.955
0.374 0.488 0.488
0.500 0.957 0.957
0.626 0.488 0.488
0.750 0.955 0.955
0.876 0.474 0.474
0.000 0.288 0.288
0.125 0.174 0.789
0.125 0.789 0.174
0.250 0.665 0.665
0.375 0.160 0.771
0.375 0.771 0.160
0.500 0.667 0.667
0.625 0.160 0.771
0.625 0.771 0.160
0.750 0.665 0.665
0.875 0.174 0.789
0.875 0.789 0.174
0.000 0.698 0.698
0.257 0.263 0.263
0.500 0.280 0.280
0.743 0.263 0.263
```